# 1
For HfMg14BO16, DFT lattice parameters and positions (PBE) gives the calculated powder diffractogram in this record (a wavelength of 1.5418 Å).
Intensities are scaled so that the largest is 100.

Crystal structure
a b c (Å): 8.666 8.666 4.286
angles (deg): 90.00 90.00 90.00
Space group P4/mmm (No. 123)
Inequivalent atoms, fractional coordinates:
Hf (0.000, 0.000, 0.000) x1
Mg (0.000, 0.261, 0.500) x4
Mg (0.000, 0.500, 0.000) x2
Mg (0.256, 0.500, 0.500) x4
Mg (0.261, 0.261, 0.000) x4
B (0.500, 0.500, 0.000) x1
O (0.000, 0.000, 0.500) x1
O (0.000, 0.248, 0.000) x4
O (0.000, 0.500, 0.500) x2
O (0.232, 0.500, 0.000) x4
O (0.249, 0.249, 0.500) x4
O (0.500, 0.500, 0.500) x1

Peak list (10 most intense, 2θ from 10° to 80°, by intensity)
d (Å)	I_rel	h k l
8.666	100	1 0 0
2.167	89	4 0 0
1.524	51	4 0 2
2.143	44	0 0 2
2.875	43	2 1 1
3.876	40	2 1 0
3.842	38	1 0 1
2.493	33	2 2 1
6.128	29	1 1 0
1.532	25	4 4 0


# 2
For HfMg6BO8, DFT lattice parameters and positions (PBE) gives the calculated powder diffractogram in this record (a wavelength of 1.5418 Å).
Intensities are scaled so that the largest is 100.

Crystal structure
a b c (Å): 4.285 4.285 8.876
angles (deg): 90.00 90.00 90.00
Space group P4/mmm (No. 123)
Inequivalent atoms, fractional coordinates:
Hf (0.000, 0.000, 0.000) x1
Mg (0.000, 0.000, 0.500) x1
Mg (0.000, 0.500, 0.257) x4
Mg (0.500, 0.500, 0.500) x1
B (0.500, 0.500, 0.000) x1
O (0.000, 0.000, 0.251) x2
O (0.000, 0.500, 0.000) x2
O (0.000, 0.500, 0.500) x2
O (0.500, 0.500, 0.269) x2

Peak list (10 most intense, 2θ from 10° to 80°, by intensity)
d (Å)	I_rel	h k l
3.859	100	1 0 1
2.142	76	2 0 0
4.285	61	1 0 0
3.082	54	1 0 2
2.502	48	1 1 2
1.541	48	2 0 4
2.219	42	0 0 4
2.867	28	1 1 1
1.873	28	2 1 1
2.435	26	1 0 3


# 3
For HfMg14BO16, DFT lattice parameters and positions (PBE) gives the calculated powder diffractogram in this record (a wavelength of 1.5418 Å).
Intensities are scaled so that the largest is 100.

Crystal structure
a b c (Å): 4.278 8.669 8.718
angles (deg): 90.00 90.00 90.00
Space group Pmmm (No. 47)
Inequivalent atoms, fractional coordinates:
Hf (0.000, 0.000, 0.000) x1
Mg (0.000, 0.254, 0.260) x4
Mg (0.000, 0.500, 0.000) x1
Mg (0.000, 0.500, 0.500) x1
Mg (0.500, 0.000, 0.267) x2
Mg (0.500, 0.248, 0.500) x2
Mg (0.500, 0.258, 0.000) x2
Mg (0.500, 0.500, 0.253) x2
B (0.000, 0.000, 0.500) x1
O (0.000, 0.000, 0.234) x2
O (0.000, 0.254, 0.000) x2
O (0.000, 0.267, 0.500) x2
O (0.000, 0.500, 0.247) x2
O (0.500, 0.000, 0.000) x1
O (0.500, 0.000, 0.500) x1
O (0.500, 0.247, 0.250) x4
O (0.500, 0.500, 0.000) x1
O (0.500, 0.500, 0.500) x1

Peak list (10 most intense, 2θ from 10° to 80°, by intensity)
d (Å)	I_rel	h k l
8.699	100	0 0 1
6.147	65	0 1 1
2.179	56	0 0 4
2.167	56	0 4 0
2.139	54	2 0 0
3.511	43	1 1 1
2.496	42	1 2 2
2.876	41	1 2 1
3.886	39	0 2 1
3.839	37	1 0 1


# 4
For HfMg6BO8, DFT lattice parameters and positions (PBE) gives the calculated powder diffractogram in this record (a wavelength of 1.5418 Å).
Intensities are scaled so that the largest is 100.

Crystal structure
a b c (Å): 4.264 4.264 9.358
angles (deg): 90.00 90.00 90.00
Space group P4/mmm (No. 123)
Inequivalent atoms, fractional coordinates:
Hf (0.000, 0.000, 0.000) x1
Mg (0.000, 0.500, 0.279) x4
Mg (0.500, 0.500, 0.000) x1
Mg (0.500, 0.500, 0.500) x1
B (0.000, 0.000, 0.500) x1
O (0.000, 0.000, 0.219) x2
O (0.000, 0.500, 0.000) x2
O (0.000, 0.500, 0.500) x2
O (0.500, 0.500, 0.258) x2

Peak list (10 most intense, 2θ from 10° to 80°, by intensity)
d (Å)	I_rel	h k l
3.880	100	1 0 1
2.132	70	2 0 0
2.870	55	1 1 1
2.534	44	1 1 2
1.576	42	2 0 4
2.340	40	0 0 4
4.264	36	1 0 0
3.152	35	1 0 2
1.869	29	2 1 1
4.679	26	0 0 2


# 5
For HfNbB4, DFT lattice parameters and positions (PBE) gives the calculated powder diffractogram in this record (a wavelength of 1.5418 Å).
Intensities are scaled so that the largest is 100.

Crystal structure
a b c (Å): 3.133 5.415 6.819
angles (deg): 90.00 90.00 90.00
Space group Immm (No. 71)
Inequivalent atoms, fractional coordinates:
Hf (0.000, 0.000, 0.000) x2
Nb (0.000, 0.000, 0.500) x2
B (0.000, 0.334, 0.250) x8

Peak list (10 most intense, 2θ from 10° to 80°, by intensity)
d (Å)	I_rel	h k l
2.122	100	1 1 2
2.710	80	1 1 0
3.410	42	0 0 2
1.443	24	1 1 4
1.565	21	2 0 0
1.422	20	2 0 2
4.241	15	0 1 1
1.260	12	2 2 2
1.705	9	0 0 4
1.356	6	2 2 0


# 6
For HfNb8B12, DFT lattice parameters and positions (PBE) gives the calculated powder diffractogram in this record (a wavelength of 1.5418 Å).
Intensities are scaled so that the largest is 100.

Crystal structure
a b c (Å): 3.160 3.352 42.499
angles (deg): 90.00 90.00 90.00
Space group Immm (No. 71)
Inequivalent atoms, fractional coordinates:
Hf (0.000, 0.000, 0.000) x2
Nb (0.000, 0.000, 0.333) x4
Nb (0.000, 0.500, 0.105) x4
Nb (0.000, 0.500, 0.228) x4
Nb (0.000, 0.500, 0.438) x4
B (0.000, 0.000, 0.145) x4
B (0.000, 0.000, 0.188) x4
B (0.000, 0.000, 0.478) x4
B (0.000, 0.500, 0.045) x4
B (0.000, 0.500, 0.289) x4
B (0.000, 0.500, 0.377) x4

Peak list (10 most intense, 2θ from 10° to 80°, by intensity)
d (Å)	I_rel	h k l
2.187	100	1 1 6
2.626	97	1 0 9
2.164	65	0 1 15
3.262	63	0 1 3
2.361	31	0 0 18
1.413	28	1 2 9
1.403	28	1 1 24
1.276	23	2 1 15
1.928	21	1 1 12
1.676	18	0 2 0